Diffraction record for CuAg6. The XRD peak list is computed, not measured: it uses a DFT-relaxed cell (PBE, OQMD) and CuKα.
Kinematic intensities with the Lorentz-polarization factor, no thermal factor.

a = 5.006 Å, b = 5.006 Å, c = 5.006 Å
α = 99.58°, β = 99.58°, γ = 99.58°
Atoms (fractional coordinates):
Cu  0.000  0.000  0.000
Ag  0.140  0.569  0.279
Ag  0.279  0.140  0.569
Ag  0.431  0.721  0.860
Ag  0.569  0.279  0.140
Ag  0.721  0.860  0.431
Ag  0.860  0.431  0.721

Most intense lines, 10 to 80 degrees two-theta, low angle first:
2θ/deg, intensity
18.3, 1
23.3, 1
28.6, 1
29.8, 1
38.1, 100
44.3, 48
64.5, 30
77.4, 34